Calculated X-ray powder pattern of AlFe3Se2ClO8 for copper Kα, from a structure optimized by DFT (PBE+U).
Neutral-atom scattering factors, no anomalous dispersion.

Principal peaks in the range 2θ from 10° to 90°, sorted by position:
Position (°2θ)	intensity	index
10.66	48.9	0 1 0
19.19	100.0	1 -1 0
26.76	51.7	1 -2 0
26.83	42.6	1 2 0
27.88	29.0	0 2 -2
28.94	38.5	0 1 -3
29.17	37.3	0 1 3
33.96	33.6	2 -1 0
37.41	29.8	0 3 2
38.28	39.3	2 1 -2

Structural model:
Cell: 5.571 8.296 9.930 Å, 90.64 91.24 90.13°
Space group P-1 (No. 2)
Inequivalent atoms, fractional coordinates:
Al: 0.246 0.157 0.252 (multiplicity 2)
Fe: 0.000 0.000 0.000 (multiplicity 1)
Fe: 0.000 0.000 0.500 (multiplicity 1)
Fe: 0.263 0.772 0.250 (multiplicity 2)
Fe: 0.500 0.000 0.000 (multiplicity 1)
Fe: 0.500 0.000 0.500 (multiplicity 1)
Se: 0.247 0.638 0.916 (multiplicity 2)
Se: 0.252 0.638 0.585 (multiplicity 2)
Cl: 0.258 0.178 0.747 (multiplicity 2)
O: 0.001 0.228 0.111 (multiplicity 2)
O: 0.009 0.772 0.610 (multiplicity 2)
O: 0.245 0.979 0.369 (multiplicity 2)
O: 0.247 0.615 0.085 (multiplicity 2)
O: 0.251 0.616 0.414 (multiplicity 2)
O: 0.253 0.978 0.132 (multiplicity 2)
O: 0.489 0.772 0.892 (multiplicity 2)
O: 0.500 0.229 0.386 (multiplicity 2)

---

Calculated X-ray powder pattern of AlNi3Se2ClO8 for copper Kα, from a structure optimized by DFT (PBE+U).
Neutral-atom scattering factors, no anomalous dispersion.

Principal peaks in the range 2θ from 10° to 90°, sorted by position:
Position (°2θ)	intensity	index
11.03	56.8	0 0 1
19.35	100.0	1 0 1
27.36	77.7	1 0 2
28.95	58.9	0 2 2
29.95	72.0	0 3 1
33.99	52.8	2 0 1
38.49	56.7	0 2 3
38.90	72.7	2 2 1
55.30	38.1	2 4 2
61.51	37.1	2 4 3

Structural model:
Cell: 5.590 9.641 8.024 Å, 90.00 90.00 90.00°
Space group Pmmn (No. 59, origin choice 2)
Inequivalent atoms, fractional coordinates:
Al: 0.250 0.250 0.148 (multiplicity 2)
Ni: 0.000 0.000 0.000 (multiplicity 4)
Ni: 0.250 0.250 0.769 (multiplicity 2)
Se: 0.250 0.581 0.638 (multiplicity 4)
Cl: 0.250 0.750 0.180 (multiplicity 2)
O: 0.001 0.608 0.779 (multiplicity 8)
O: 0.250 0.092 0.601 (multiplicity 4)
O: 0.250 0.128 0.966 (multiplicity 4)

---

Calculated X-ray powder pattern of AlW3Se2ClO8 for copper Kα, from a structure optimized by DFT (PBE+U).
Neutral-atom scattering factors, no anomalous dispersion.

Principal peaks in the range 2θ from 10° to 90°, sorted by position:
Position (°2θ)	intensity	index
12.03	59.5	1 0 0
14.34	69.6	1 0 1
14.90	70.5	1 1 1
16.46	88.1	0 1 -1
19.26	33.1	1 1 2
20.54	100.0	1 0 2
22.06	59.7	1 0 -2
22.66	52.1	0 2 0
31.11	33.0	2 0 -2
36.60	35.4	2 3 2

Structural model:
Cell: 7.534 8.509 10.855 Å, 69.22 81.92 78.37°
Space group P1 (No. 1)
Inequivalent atoms, fractional coordinates:
Al: 0.000 0.000 0.000 (multiplicity 1)
Al: 0.400 0.256 0.405 (multiplicity 1)
W: 0.063 0.243 0.666 (multiplicity 1)
W: 0.125 0.589 0.704 (multiplicity 1)
W: 0.150 0.125 0.214 (multiplicity 1)
W: 0.214 0.700 0.256 (multiplicity 1)
W: 0.527 0.001 0.024 (multiplicity 1)
W: 0.789 0.199 0.419 (multiplicity 1)
Se: 0.603 0.680 0.040 (multiplicity 1)
Se: 0.671 0.668 0.827 (multiplicity 1)
Se: 0.881 0.535 0.573 (multiplicity 1)
Se: 0.949 0.909 0.344 (multiplicity 1)
Cl: 0.317 0.667 0.492 (multiplicity 1)
Cl: 0.415 0.284 0.051 (multiplicity 1)
O: 0.006 0.080 0.826 (multiplicity 1)
O: 0.067 0.154 0.049 (multiplicity 1)
O: 0.107 0.796 0.087 (multiplicity 1)
O: 0.188 0.358 0.768 (multiplicity 1)
O: 0.273 0.231 0.559 (multiplicity 1)
O: 0.286 0.672 0.754 (multiplicity 1)
O: 0.289 0.466 0.303 (multiplicity 1)
O: 0.290 0.141 0.334 (multiplicity 1)
O: 0.352 0.921 0.179 (multiplicity 1)
O: 0.478 0.068 0.861 (multiplicity 1)
O: 0.602 0.076 0.444 (multiplicity 1)
O: 0.610 0.381 0.400 (multiplicity 1)
O: 0.759 0.012 0.040 (multiplicity 1)
O: 0.913 0.155 0.566 (multiplicity 1)
O: 0.926 0.667 0.806 (multiplicity 1)
O: 0.935 0.286 0.265 (multiplicity 1)

---

Calculated X-ray powder pattern of Sr2AlCoCu2O7 for copper Kα, from a structure optimized by DFT (PBE+U).
Neutral-atom scattering factors, no anomalous dispersion.

Principal peaks in the range 2θ from 10° to 90°, sorted by position:
Position (°2θ)	intensity	index
28.24	36.4	1 1 3
33.28	100.0	0 2 1
33.65	35.8	2 0 1
39.30	27.3	0 0 5
39.43	19.7	1 1 5
48.02	30.3	2 2 2
52.68	10.7	2 0 6
59.43	12.0	1 3 -1
59.96	14.2	3 1 -1
63.75	10.7	2 2 7

Structural model:
Cell: 5.327 5.391 12.069 Å, 77.12 77.28 89.94°
Space group P1 (No. 1)
Inequivalent atoms, fractional coordinates:
Sr: 0.000 0.000 0.000 (multiplicity 1)
Sr: 0.198 0.198 0.602 (multiplicity 1)
Sr: 0.500 0.476 0.000 (multiplicity 1)
Sr: 0.698 0.674 0.602 (multiplicity 1)
Al: 0.343 0.338 0.301 (multiplicity 1)
Al: 0.843 0.837 0.301 (multiplicity 1)
Co: 0.133 0.651 0.801 (multiplicity 1)
Co: 0.633 0.023 0.801 (multiplicity 1)
Cu: 0.283 0.779 0.419 (multiplicity 1)
Cu: 0.401 0.895 0.183 (multiplicity 1)
Cu: 0.783 0.276 0.419 (multiplicity 1)
Cu: 0.901 0.397 0.183 (multiplicity 1)
O: 0.005 0.485 0.955 (multiplicity 1)
O: 0.074 0.716 0.191 (multiplicity 1)
O: 0.109 0.461 0.410 (multiplicity 1)
O: 0.155 0.637 0.648 (multiplicity 1)
O: 0.217 0.212 0.193 (multiplicity 1)
O: 0.463 0.105 0.411 (multiplicity 1)
O: 0.495 0.691 0.801 (multiplicity 1)
O: 0.505 0.036 0.954 (multiplicity 1)
O: 0.573 0.569 0.190 (multiplicity 1)
O: 0.609 0.605 0.408 (multiplicity 1)
O: 0.655 0.188 0.648 (multiplicity 1)
O: 0.717 0.069 0.193 (multiplicity 1)
O: 0.963 0.957 0.412 (multiplicity 1)
O: 0.996 0.984 0.801 (multiplicity 1)

---

Calculated X-ray powder pattern of AlCo3F15 for copper Kα, from a structure optimized by DFT (PBE+U).
Neutral-atom scattering factors, no anomalous dispersion.

Principal peaks in the range 2θ from 10° to 90°, sorted by position:
Position (°2θ)	intensity	index
15.66	54.3	1 0 0
16.59	42.5	0 2 0
22.89	100.0	1 2 0
30.33	19.6	0 0 3
34.76	17.2	1 2 -3
39.69	12.1	1 3 -3
45.87	13.6	0 4 3
46.76	14.7	2 4 0
60.69	10.5	1 0 -6
65.61	10.4	1 6 3

Structural model:
Cell: 5.871 10.687 9.159 Å, 90.00 105.43 90.00°
Space group P2_1/m (No. 11)
Inequivalent atoms, fractional coordinates:
Al: 0.059 0.250 0.256 (multiplicity 2)
Co: 0.483 0.000 0.662 (multiplicity 4)
Co: 0.500 0.000 0.000 (multiplicity 2)
F: 0.079 0.750 0.930 (multiplicity 2)
F: 0.107 0.750 0.620 (multiplicity 2)
F: 0.146 0.750 0.275 (multiplicity 2)
F: 0.227 0.090 0.628 (multiplicity 4)
F: 0.243 0.118 0.290 (multiplicity 4)
F: 0.244 0.091 0.951 (multiplicity 4)
F: 0.371 0.594 0.472 (multiplicity 4)
F: 0.373 0.590 0.139 (multiplicity 4)
F: 0.380 0.601 0.826 (multiplicity 4)

---

Calculated X-ray powder pattern of Sr2AlGaCo2O7 for copper Kα, from a structure optimized by DFT (PBE+U).
Neutral-atom scattering factors, no anomalous dispersion.

Principal peaks in the range 2θ from 10° to 90°, sorted by position:
Position (°2θ)	intensity	index
27.89	49.9	1 1 1
27.98	15.9	1 1 -3
31.82	63.6	0 2 -1
33.15	98.9	2 0 -1
33.30	100.0	1 1 -4
39.68	21.1	1 1 3
40.39	37.0	0 0 5
46.49	27.2	2 -2 0
46.69	27.8	2 2 -2
53.19	16.2	2 0 -6

Structural model:
Cell: 5.410 5.624 11.816 Å, 103.54 103.15 90.23°
Space group P1 (No. 1)
Inequivalent atoms, fractional coordinates:
Sr: 0.000 0.000 0.000 (multiplicity 1)
Sr: 0.200 0.201 0.401 (multiplicity 1)
Sr: 0.501 0.454 0.001 (multiplicity 1)
Sr: 0.701 0.656 0.402 (multiplicity 1)
Al: 0.359 0.328 0.704 (multiplicity 1)
Al: 0.856 0.834 0.703 (multiplicity 1)
Ga: 0.067 0.650 0.202 (multiplicity 1)
Ga: 0.567 0.005 0.199 (multiplicity 1)
Co: 0.290 0.773 0.571 (multiplicity 1)
Co: 0.422 0.886 0.836 (multiplicity 1)
Co: 0.797 0.271 0.586 (multiplicity 1)
Co: 0.919 0.397 0.828 (multiplicity 1)
O: 0.050 0.457 0.048 (multiplicity 1)
O: 0.079 0.720 0.817 (multiplicity 1)
O: 0.115 0.441 0.597 (multiplicity 1)
O: 0.204 0.614 0.357 (multiplicity 1)
O: 0.218 0.953 0.201 (multiplicity 1)
O: 0.227 0.205 0.808 (multiplicity 1)
O: 0.476 0.113 0.587 (multiplicity 1)
O: 0.547 0.042 0.044 (multiplicity 1)
O: 0.580 0.555 0.818 (multiplicity 1)
O: 0.618 0.608 0.597 (multiplicity 1)
O: 0.703 0.203 0.349 (multiplicity 1)
O: 0.718 0.702 0.201 (multiplicity 1)
O: 0.724 0.058 0.808 (multiplicity 1)
O: 0.971 0.936 0.586 (multiplicity 1)

---

Calculated X-ray powder pattern of Sr2AlGaCo2O7 for copper Kα, from a structure optimized by DFT (PBE+U).
Neutral-atom scattering factors, no anomalous dispersion.

Principal peaks in the range 2θ from 10° to 90°, sorted by position:
Position (°2θ)	intensity	index
27.91	43.7	1 1 -1
31.75	45.1	0 2 1
32.97	48.4	2 0 1
33.34	100.0	-1 1 3
39.84	19.8	1 -1 4
40.65	24.6	0 0 5
46.42	39.2	2 -2 0
53.30	10.6	2 0 -4
59.11	23.2	-3 1 2
63.41	10.1	-2 2 5

Structural model:
Cell: 5.433 5.637 11.760 Å, 76.25 76.66 89.97°
Space group P1 (No. 1)
Inequivalent atoms, fractional coordinates:
Sr: 0.000 0.000 0.000 (multiplicity 1)
Sr: 0.201 0.205 0.598 (multiplicity 1)
Sr: 0.500 0.550 0.001 (multiplicity 1)
Sr: 0.702 0.754 0.599 (multiplicity 1)
Al: 0.349 0.378 0.299 (multiplicity 1)
Al: 0.849 0.877 0.298 (multiplicity 1)
Ga: 0.132 0.555 0.801 (multiplicity 1)
Ga: 0.634 0.200 0.799 (multiplicity 1)
Co: 0.285 0.806 0.427 (multiplicity 1)
Co: 0.413 0.952 0.167 (multiplicity 1)
Co: 0.782 0.321 0.431 (multiplicity 1)
Co: 0.915 0.434 0.165 (multiplicity 1)
O: 0.085 0.756 0.192 (multiplicity 1)
O: 0.123 0.487 0.415 (multiplicity 1)
O: 0.144 0.754 0.649 (multiplicity 1)
O: 0.239 0.268 0.183 (multiplicity 1)
O: 0.477 0.150 0.405 (multiplicity 1)
O: 0.478 0.500 0.800 (multiplicity 1)
O: 0.497 0.003 0.953 (multiplicity 1)
O: 0.585 0.605 0.193 (multiplicity 1)
O: 0.622 0.654 0.415 (multiplicity 1)
O: 0.653 0.163 0.643 (multiplicity 1)
O: 0.740 0.101 0.182 (multiplicity 1)
O: 0.978 0.998 0.405 (multiplicity 1)
O: 0.979 0.254 0.800 (multiplicity 1)
O: 0.997 0.590 0.957 (multiplicity 1)

---

Calculated X-ray powder pattern of Al2Co3GeO8 for copper Kα, from a structure optimized by DFT (PBE+U).
Neutral-atom scattering factors, no anomalous dispersion.

Principal peaks in the range 2θ from 10° to 90°, sorted by position:
Position (°2θ)	intensity	index
30.35	96.4	0 2 0
35.66	70.3	0 1 3
35.78	43.1	1 2 1
36.03	100.0	2 1 1
43.68	14.9	2 2 0
57.31	31.3	0 1 5
57.63	25.5	2 3 1
57.91	19.0	3 2 1
63.04	16.0	0 4 0
63.18	60.4	2 2 4

Structural model:
Cell: 5.825 5.899 8.361 Å, 90.00 90.00 90.00°
Space group Imm2 (No. 44)
Inequivalent atoms, fractional coordinates:
Al: 0.000 0.236 0.000 (multiplicity 4)
Co: 0.000 0.500 0.365 (multiplicity 2)
Co: 0.244 0.000 0.242 (multiplicity 4)
Ge: 0.000 0.000 0.629 (multiplicity 2)
O: 0.000 0.240 0.221 (multiplicity 4)
O: 0.000 0.249 0.759 (multiplicity 4)
O: 0.218 0.000 0.994 (multiplicity 4)
O: 0.236 0.500 0.001 (multiplicity 4)

---

Calculated X-ray powder pattern of KAlCoP2O8 for copper Kα, from a structure optimized by DFT (PBE+U).
Neutral-atom scattering factors, no anomalous dispersion.

Principal peaks in the range 2θ from 10° to 90°, sorted by position:
Position (°2θ)	intensity	index
13.37	30.2	2 0 0
20.38	55.4	0 0 2
23.05	73.6	1 3 -1
25.11	35.3	3 1 1
26.09	80.2	2 2 -2
26.43	46.8	2 0 2
26.92	100.0	4 0 0
29.13	50.2	3 3 -1
30.19	34.2	2 4 0
34.03	32.8	0 4 2

Structural model:
Cell: 13.477 13.230 8.863 Å, 90.00 100.42 90.00°
Space group Cc (No. 9)
Inequivalent atoms, fractional coordinates:
K: 0.000 0.234 0.000 (multiplicity 4)
K: 0.139 0.240 0.561 (multiplicity 4)
Al: 0.388 0.374 0.828 (multiplicity 4)
Al: 0.445 0.061 0.166 (multiplicity 4)
Co: 0.185 0.066 0.900 (multiplicity 4)
Co: 0.232 0.379 0.223 (multiplicity 4)
P: 0.165 0.427 0.862 (multiplicity 4)
P: 0.241 0.138 0.260 (multiplicity 4)
P: 0.390 0.138 0.812 (multiplicity 4)
P: 0.456 0.435 0.188 (multiplicity 4)
O: 0.060 0.105 0.761 (multiplicity 4)
O: 0.067 0.396 0.746 (multiplicity 4)
O: 0.157 0.376 0.014 (multiplicity 4)
O: 0.175 0.108 0.106 (multiplicity 4)
O: 0.175 0.458 0.375 (multiplicity 4)
O: 0.217 0.246 0.305 (multiplicity 4)
O: 0.220 0.073 0.396 (multiplicity 4)
O: 0.255 0.382 0.792 (multiplicity 4)
O: 0.275 0.141 0.786 (multiplicity 4)
O: 0.357 0.129 0.250 (multiplicity 4)
O: 0.377 0.385 0.268 (multiplicity 4)
O: 0.429 0.248 0.793 (multiplicity 4)
O: 0.431 0.072 0.691 (multiplicity 4)
O: 0.437 0.098 0.973 (multiplicity 4)
O: 0.441 0.408 0.015 (multiplicity 4)
O: 0.446 0.446 0.699 (multiplicity 4)